# LiAc2GaPt6
Computed X-ray diffraction stick pattern, Cu Ka. Input: a GGA-PBE-relaxed structure.
Intensities are scaled so that the largest is 100.

Peak list (10 most intense, 15 to 90 degrees two-theta, by angle)
hkl  d/Å  2θ/deg  I_rel
0 0 2  3.794  23.4  57.6
1 1 -1  3.367  26.5  41.6
1 0 3  2.473  36.3  11.6
2 0 0  2.443  36.8  100.0
2 1 3  2.298  39.2  15.2
2 2 0  2.290  39.3  83.0
0 1 -3  2.072  43.7  20.8
2 0 -2  1.879  48.5  21.7
2 1 5  1.586  58.2  13.6
2 4 2  1.445  64.5  17.1

```
LiAc2GaPt6
1.0
5.7726 0.0000 0.0000
2.8843 5.0073 0.0000
2.8826 1.6598 7.5880
Li Ac Ga Pt
1 2 1 6
direct
0.0000 0.0000 0.0000 Li
0.2900 0.2909 0.1278 Ac
0.7100 0.7091 0.8722 Ac
0.5000 0.5000 0.5000 Ga
0.2310 0.7531 0.2629 Pt
0.2482 0.2465 0.7374 Pt
0.2481 0.7683 0.7372 Pt
0.7519 0.2317 0.2628 Pt
0.7518 0.7535 0.2626 Pt
0.7690 0.2469 0.7371 Pt
```